This entry pairs a crystal structure of Er3CdIr with its simulated powder diffractogram. Radiation: CuKα. Structure: a DFT-relaxed cell (GGA-PBE, Alexandria).
Intensities are scaled so that the largest is 1000.

Largest 10 diffraction maxima, most intense first, 2θ from 10° to 80°:
Position (°2θ), intensity
34.0, 1000
36.3, 832
36.1, 655
29.9, 583
42.6, 552
29.0, 438
14.0, 365
11.9, 337
10.8, 336
57.2, 307

Structure:
Cell: 7.9683 7.9683 9.9522 Å, 123.32 123.32 30.90°
Sites, in units of the cell vectors:
Er 0.0946 0.0946 0.4511
Er 0.3326 0.3326 0.1965
Er 0.3607 0.3607 0.7832
Er 0.6393 0.6393 0.2168
Er 0.6674 0.6674 0.8035
Er 0.9054 0.9054 0.5489
Cd 0.0741 0.0741 0.9330
Cd 0.9259 0.9259 0.0670
Ir 0.2690 0.2690 0.4081
Ir 0.7310 0.7310 0.5919